# 1
Diffraction record for Sc5CuTe8. The powder XRD pattern is computed, not measured: it uses DFT lattice parameters and positions (PBE) and a wavelength of 1.5418 Å.
Kinematic intensities with the Lorentz-polarization factor, no thermal factor.

Structural model:
abc: 12.016 12.016 12.016
angles: 90.00 90.00 90.00
Space group F-43m (No. 216)
Asymmetric unit:
1 Sc 0.000 0.000 0.000 x4
2 Sc 0.118 0.118 0.382 x16
3 Cu 0.250 0.250 0.750 x4
4 Te 0.123 0.123 0.623 x16
5 Te 0.134 0.134 0.134 x16

Principal peaks in the range 2θ = 5–70°, low angle first:
| two_theta | d [Å] | I (rel.) | (hkl) |
| --- | --- | --- | --- |
| 20.9 | 4.248 | 6 | 2 2 0 |
| 24.6 | 3.623 | 13 | 3 1 1 |
| 25.7 | 3.469 | 100 | 2 2 2 |
| 29.7 | 3.004 | 87 | 4 0 0 |
| 38.9 | 2.312 | 12 | 5 1 1 |
| 42.6 | 2.124 | 94 | 4 4 0 |
| 50.4 | 1.811 | 46 | 6 2 2 |
| 52.8 | 1.734 | 21 | 4 4 4 |
| 61.8 | 1.502 | 14 | 8 0 0 |
| 68.0 | 1.378 | 18 | 6 6 2 |

# 2
Diffraction record for Sc2Tl3CuTe6. The powder XRD pattern is computed, not measured: it uses DFT lattice parameters and positions (PBE) and a wavelength of 1.5418 Å.
Kinematic intensities with the Lorentz-polarization factor, no thermal factor.

Structural model:
abc: 7.401 12.745 8.164
angles: 90.00 108.04 90.00
Space group C2/m (No. 12)
Asymmetric unit:
1 Sc 0.000 0.163 0.000 x4
2 Tl 0.000 0.000 0.500 x2
3 Tl 0.000 0.319 0.500 x4
4 Cu 0.000 0.500 0.000 x2
5 Te 0.221 0.340 0.193 x8
6 Te 0.241 0.000 0.216 x4

Principal peaks in the range 2θ = 5–70°, low angle first:
| two_theta | d [Å] | I (rel.) | (hkl) |
| --- | --- | --- | --- |
| 24.5 | 3.637 | 21 | 1 3 0 |
| 28.5 | 3.134 | 55 | 2 0 -2 |
| 28.7 | 3.108 | 100 | 1 3 1 |
| 30.9 | 2.892 | 39 | 2 0 1 |
| 34.7 | 2.587 | 16 | 0 0 3 |
| 39.4 | 2.288 | 34 | 1 3 -3 |
| 42.4 | 2.133 | 38 | 3 3 -1 |
| 42.6 | 2.124 | 18 | 0 6 0 |
| 52.0 | 1.759 | 28 | 2 6 -2 |
| 56.0 | 1.641 | 16 | 3 3 2 |

# 3
Diffraction record for ScTiCu. The powder XRD pattern is computed, not measured: it uses DFT lattice parameters and positions (PBE) and a wavelength of 1.5418 Å.
Kinematic intensities with the Lorentz-polarization factor, no thermal factor.

Structural model:
abc: 14.262 3.102 4.716
angles: 90.00 91.11 90.00
Space group Cm (No. 8)
Asymmetric unit:
1 Sc 0.000 0.000 0.000 x2
2 Sc 0.196 0.500 0.021 x2
3 Ti 0.050 0.500 0.506 x2
4 Ti 0.369 0.500 0.467 x2
5 Cu 0.207 0.000 0.528 x2
6 Cu 0.347 0.000 0.921 x2

Principal peaks in the range 2θ = 5–70°, low angle first:
| two_theta | d [Å] | I (rel.) | (hkl) |
| --- | --- | --- | --- |
| 12.4 | 7.130 | 15 | 2 0 0 |
| 22.4 | 3.968 | 10 | 2 0 -1 |
| 37.9 | 2.377 | 42 | 6 0 0 |
| 38.2 | 2.357 | 46 | 0 0 2 |
| 39.4 | 2.286 | 100 | 3 1 -1 |
| 39.8 | 2.265 | 84 | 3 1 1 |
| 42.9 | 2.106 | 12 | 6 0 1 |
| 54.3 | 1.690 | 14 | 6 0 -2 |
| 59.6 | 1.551 | 15 | 0 2 0 |
| 69.6 | 1.351 | 11 | 3 1 -3 |

# 4
Diffraction record for ScTiCu. The powder XRD pattern is computed, not measured: it uses DFT lattice parameters and positions (PBE) and a wavelength of 1.5418 Å.
Kinematic intensities with the Lorentz-polarization factor, no thermal factor.

Structural model:
abc: 6.755 3.005 10.298
angles: 90.00 90.00 90.00
Space group Pnma (No. 62)
Asymmetric unit:
1 Sc 0.159 0.250 0.094 x4
2 Ti 0.085 0.250 0.398 x4
3 Cu 0.132 0.250 0.788 x4

Principal peaks in the range 2θ = 5–70°, low angle first:
| two_theta | d [Å] | I (rel.) | (hkl) |
| --- | --- | --- | --- |
| 17.2 | 5.149 | 15 | 0 0 2 |
| 37.1 | 2.423 | 15 | 1 1 2 |
| 37.4 | 2.407 | 100 | 2 0 3 |
| 39.9 | 2.261 | 81 | 0 1 3 |
| 40.2 | 2.245 | 91 | 2 1 0 |
| 43.9 | 2.063 | 10 | 3 0 2 |
| 54.3 | 1.689 | 12 | 4 0 0 |
| 61.7 | 1.502 | 13 | 0 2 0 |
| 63.0 | 1.476 | 11 | 3 1 4 |
| 69.5 | 1.353 | 15 | 4 1 3 |

# 5
Diffraction record for Sc8TlCu2. The powder XRD pattern is computed, not measured: it uses DFT lattice parameters and positions (PBE) and a wavelength of 1.5418 Å.
Kinematic intensities with the Lorentz-polarization factor, no thermal factor.

Structural model:
abc: 8.239 12.718 4.914
angles: 90.00 106.02 90.00
Space group C2/m (No. 12)
Asymmetric unit:
1 Sc 0.000 0.242 0.000 x4
2 Sc 0.105 0.500 0.804 x4
3 Sc 0.203 0.124 0.590 x8
4 Tl 0.000 0.000 0.000 x2
5 Cu 0.000 0.310 0.500 x4

Principal peaks in the range 2θ = 5–70°, low angle first:
| two_theta | d [Å] | I (rel.) | (hkl) |
| --- | --- | --- | --- |
| 13.2 | 6.722 | 48 | 1 1 0 |
| 20.3 | 4.377 | 47 | 1 1 -1 |
| 22.5 | 3.959 | 50 | 2 0 0 |
| 23.5 | 3.792 | 56 | 0 2 1 |
| 34.0 | 2.638 | 83 | 0 4 1 |
| 34.8 | 2.580 | 84 | 3 1 -1 |
| 36.2 | 2.479 | 100 | 2 4 0 |
| 37.3 | 2.412 | 40 | 1 1 -2 |
| 40.2 | 2.241 | 48 | 3 3 0 |
| 40.4 | 2.233 | 55 | 1 5 -1 |

# 6
Diffraction record for Tm2ScCu9. The powder XRD pattern is computed, not measured: it uses DFT lattice parameters and positions (PBE) and a wavelength of 1.5418 Å.
Kinematic intensities with the Lorentz-polarization factor, no thermal factor.

Structural model:
abc: 5.0594 5.0594 16.5682
angles: 90.00 90.00 120.00
Space group P6_3/mmc (No. 194)
Asymmetric unit:
1 Tm 0.3333 0.6667 0.0433 x4
2 Sc 0.3333 0.6667 0.2500 x2
3 Cu 0.0000 0.0000 0.0000 x2
4 Cu 0.0000 0.0000 0.2500 x2
5 Cu 0.1675 0.3349 0.6272 x12
6 Cu 0.3333 0.6667 0.7500 x2

Principal peaks in the range 2θ = 5–70°, low angle first:
| two_theta | d [Å] | I (rel.) | (hkl) |
| --- | --- | --- | --- |
| 10.7 | 8.284 | 36 | 0 0 2 |
| 26.0 | 3.433 | 27 | 1 0 3 |
| 33.9 | 2.643 | 76 | 1 0 5 |
| 35.5 | 2.530 | 54 | 1 1 0 |
| 41.6 | 2.172 | 34 | 2 0 1 |
| 41.8 | 2.159 | 100 | 1 1 4 |
| 43.5 | 2.082 | 42 | 1 0 7 |
| 44.5 | 2.036 | 64 | 2 0 3 |
| 62.7 | 1.481 | 25 | 2 1 5 |
| 68.1 | 1.377 | 22 | 3 0 4 |